Y: theoretical powder diffraction line list (λ = 1.5418 Å (Cu Kα)), based on DFT lattice parameters and positions (PBE).
Neutral-atom scattering factors, no anomalous dispersion.

Main lines, in order of rising 2θ (2θ from 10° to 90°):
2θ/deg  I/Imax
28.8  38
29.4  15
30.9  51
31.8  100
33.5  89
50.7  37
54.5  20
57.8  18
60.6  42
61.1  15
62.1  14
86.3  15

Atomic structure:
```
data_Y
_chemical_formula_sum 'Y9'
_cell_length_a 3.6020
_cell_length_b 3.6020
_cell_length_c 26.0048
_cell_angle_alpha 90.00
_cell_angle_beta 90.00
_cell_angle_gamma 120.00
_symmetry_space_group_name_H-M 'R -3 m'
_symmetry_Int_Tables_number 166
_symmetry_space_group_name_Hall '-R 3 2"'
loop_
_atom_site_label
_atom_site_type_symbol
_atom_site_fract_x
_atom_site_fract_y
_atom_site_fract_z
Y1 Y 0.0000 0.0000 0.0000
Y2 Y 0.0000 0.0000 0.2218
```